(1)
Computed powder diffraction line list
Compound: UZnPt6
Radiation: copper Kα
Structure: the GGA-PBE geometry in Alexandria
Peak positions follow from Bragg's law for the DFT cell and can differ from measured ones.

Top 10 peaks for 10° ≤ 2θ ≤ 90°, in order of rising 2θ:
- hkl 1 0 0, 2θ = 15.57°, I 5
- hkl 1 0 1, 2θ = 26.86°, I 3
- hkl 2 0 1, 2θ = 38.55°, I 100
- hkl 0 0 2, 2θ = 44.33°, I 17
- hkl 2 2 0, 2θ = 45.05°, I 32
- hkl 2 2 2, 2θ = 65.05°, I 22
- hkl 4 0 0, 2θ = 65.61°, I 11
- hkl 2 0 3, 2θ = 77.71°, I 13
- hkl 4 2 1, 2θ = 78.75°, I 26
- hkl 4 0 2, 2θ = 82.63°, I 12

Crystal structure
Lattice parameters (Å, degrees): 5.692 5.692 4.087 90.00 90.00 90.00
Space group P4/mmm (No. 123)
Unique sites:
U: 0.000 0.000 0.000 x1
Zn: 0.500 0.500 0.000 x1
Pt: 0.000 0.500 0.000 x2
Pt: 0.250 0.250 0.500 x4

(2)
Computed powder diffraction line list
Compound: V3Pt7
Radiation: copper Kα
Structure: the GGA-PBE geometry in Alexandria
Peak positions follow from Bragg's law for the DFT cell and can differ from measured ones.

Top 10 peaks for 10° ≤ 2θ ≤ 90°, in order of rising 2θ:
- hkl 1 -1 2, 2θ = 26.92°, I 59
- hkl 0 2 -3, 2θ = 32.43°, I 54
- hkl 2 0 0, 2θ = 33.69°, I 62
- hkl 1 3 -1, 2θ = 37.79°, I 52
- hkl 2 -2 1, 2θ = 40.59°, I 46
- hkl 2 0 -2, 2θ = 41.39°, I 100
- hkl 0 2 2, 2θ = 42.32°, I 99
- hkl 2 2 0, 2θ = 42.52°, I 86
- hkl 0 4 -2, 2θ = 44.66°, I 38
- hkl 2 -3 2, 2θ = 48.46°, I 32

Crystal structure
Lattice parameters (Å, degrees): 5.313 8.117 8.556 118.29 90.57 90.05
Space group P-1 (No. 2)
Unique sites:
V: 0.019 0.183 0.367 x2
V: 0.370 0.374 0.182 x2
V: 0.370 0.808 0.181 x2
Pt: 0.095 0.653 0.307 x2
Pt: 0.174 0.764 0.878 x2
Pt: 0.175 0.114 0.879 x2
Pt: 0.251 0.022 0.522 x2
Pt: 0.251 0.500 0.522 x2
Pt: 0.276 0.460 0.922 x2
Pt: 0.481 0.152 0.304 x2